No. 1
Diffraction record for MgMn2Nb2. The powder X-ray diffraction pattern is calculated, not measured: it uses a crystal structure in Alexandria, relaxed with GGA-PBE and Cu Kα (weighted mean of Kα1 and Kα2).
No peak broadening, texture or thermal motion is included.

Most intense lines, 2θ from 15° to 90°, low angle first:
(hkl)	d (Å)	2θ/deg	I_rel
1 1 0	5.051	17.56	23
2 0 0	3.571	24.93	11
2 1 0	3.194	27.93	10
2 0 1	2.387	37.68	20
2 1 1	2.264	39.81	100
3 1 0	2.259	39.91	31
4 1 0	1.732	52.85	10
3 3 0	1.684	54.49	13
4 1 1	1.525	60.75	14
5 2 1	1.226	77.94	12

Structural model:
```
data_MgMn2Nb2
_cell_length_a 7.1426
_cell_length_b 7.1426
_cell_length_c 3.2101
_cell_angle_alpha 90.00
_cell_angle_beta 90.00
_cell_angle_gamma 90.00
_symmetry_space_group_name_H-M 'P 4/m b m'
_symmetry_Int_Tables_number 127
_symmetry_space_group_name_Hall '-P 4 2ab'
loop_
_atom_site_label
_atom_site_type_symbol
_atom_site_fract_x
_atom_site_fract_y
_atom_site_fract_z
Mg1 Mg 0.0000 0.0000 0.0000
Mn1 Mn 0.1255 0.3745 0.0000
Nb1 Nb 0.1707 0.6707 0.5000
```



No. 2
Diffraction record for Mg14MnNb. The powder X-ray diffraction pattern is calculated, not measured: it uses a crystal structure in Alexandria, relaxed with GGA-PBE and Cu Kα (weighted mean of Kα1 and Kα2).
No peak broadening, texture or thermal motion is included.

Most intense lines, 2θ from 15° to 90°, low angle first:
(hkl)	d (Å)	2θ/deg	I_rel
1 0 2	4.827	18.38	18
0 2 2	2.694	33.26	30
4 0 0	2.527	35.52	40
2 0 4	2.413	37.26	57
2 2 2	2.377	37.85	100
4 2 2	1.843	49.45	19
0 2 6	1.575	58.59	18
6 2 2	1.428	65.33	19
4 2 6	1.337	70.43	19
2 4 4	1.301	72.65	15

Structural model:
```
data_Mg14MnNb
_cell_length_a 10.1087
_cell_length_b 6.1819
_cell_length_c 10.9867
_cell_angle_alpha 90.00
_cell_angle_beta 90.00
_cell_angle_gamma 90.00
_symmetry_space_group_name_H-M 'A m m 2'
_symmetry_Int_Tables_number 38
_symmetry_space_group_name_Hall 'A 2 -2'
loop_
_atom_site_label
_atom_site_type_symbol
_atom_site_fract_x
_atom_site_fract_y
_atom_site_fract_z
Mg1 Mg 0.0000 0.0000 0.0000
Mg2 Mg 0.0000 0.0000 0.5001
Mg3 Mg 0.0000 0.2492 0.2510
Mg4 Mg 0.2547 0.0000 0.6617
Mg5 Mg 0.2610 0.0000 0.1597
Mg6 Mg 0.2630 0.2482 0.4187
Mg7 Mg 0.5000 0.2471 0.7534
Mn1 Mn 0.5000 0.0000 0.0002
Nb1 Nb 0.5000 0.0000 0.5064
```



No. 3
Diffraction record for Mg6MnNb. The powder X-ray diffraction pattern is calculated, not measured: it uses a crystal structure in Alexandria, relaxed with GGA-PBE and Cu Kα (weighted mean of Kα1 and Kα2).
No peak broadening, texture or thermal motion is included.

Most intense lines, 2θ from 15° to 90°, low angle first:
(hkl)	d (Å)	2θ/deg	I_rel
0 0 2	5.534	16.02	35
0 1 1	5.300	16.73	81
0 2 2	2.650	33.83	57
1 1 3	2.636	34.01	20
2 0 0	2.411	37.30	50
1 0 4	2.400	37.48	90
1 2 2	2.322	38.77	100
2 2 2	1.783	51.23	33
3 2 2	1.374	68.24	17
1 4 4	1.278	74.23	22

Structural model:
```
data_Mg6MnNb
_cell_length_a 4.8220
_cell_length_b 6.0371
_cell_length_c 11.0674
_cell_angle_alpha 90.00
_cell_angle_beta 90.00
_cell_angle_gamma 90.00
_symmetry_space_group_name_H-M 'A m m 2'
_symmetry_Int_Tables_number 38
_symmetry_space_group_name_Hall 'A 2 -2'
loop_
_atom_site_label
_atom_site_type_symbol
_atom_site_fract_x
_atom_site_fract_y
_atom_site_fract_z
Mg1 Mg 0.0000 0.0000 0.0000
Mg2 Mg 0.0000 0.2408 0.2523
Mg3 Mg 0.5000 0.0000 0.8430
Mg4 Mg 0.5000 0.2443 0.5986
Mn1 Mn 0.0000 0.0000 0.4812
Nb1 Nb 0.5000 0.0000 0.3659
```